Diffraction record for Tm2MgW2Cl2O8. The X-ray diffraction stick pattern is computed, not measured: it uses a crystal structure in the Materials Project, relaxed with PBE+U and Cu Kα, 1.54184 Å.
Intensities are scaled so that the largest is 100.

Cell and atoms:
```
data_Tm2MgW2Cl2O8
_symmetry_space_group_name_H-M 'P 1'
_symmetry_Int_Tables_number 1
_cell_length_a 6.1936
_cell_length_b 6.7242
_cell_length_c 7.0309
_cell_angle_alpha 72.64
_cell_angle_beta 66.31
_cell_angle_gamma 78.95
loop_
_symmetry_equiv_pos_as_xyz
'x,y,z'
loop_
_atom_site_label
_atom_site_type_symbol
_atom_site_fract_x
_atom_site_fract_y
_atom_site_fract_z
Tm1 Tm 0.0000 0.0000 0.0000
Tm2 Tm 0.3713 0.3911 0.5884
Mg1 Mg 0.4670 0.6141 0.1164
W1 W 0.0413 0.4024 0.1722
W2 W 0.3413 0.0029 0.3841
Cl1 Cl 0.6434 0.4441 0.7791
Cl2 Cl 0.6800 0.9105 0.8665
O1 O 0.0988 0.3449 0.9023
O2 O 0.1038 0.0783 0.2457
O3 O 0.1514 0.6856 0.0642
O4 O 0.2457 0.0647 0.6606
O5 O 0.2872 0.3476 0.3075
O6 O 0.3233 0.7087 0.4142
O7 O 0.6611 0.0074 0.2727
O8 O 0.7187 0.4497 0.2857
```

The 10 most intense peaks (2θ from 10° to 90°), sorted by position:
2θ 13.8, d 6.396, intensity 26, hkl 0 1 0
2θ 15.7, d 5.652, intensity 47, hkl 1 0 0
2θ 16.9, d 5.262, intensity 34, hkl 1 0 1
2θ 24.8, d 3.587, intensity 100, hkl 1 0 -1
2θ 26.4, d 3.380, intensity 30, hkl 1 1 2
2θ 27.9, d 3.198, intensity 43, hkl 0 2 0
2θ 28.6, d 3.124, intensity 27, hkl 0 1 2
2θ 29.5, d 3.027, intensity 32, hkl 2 0 1
2θ 35.9, d 2.500, intensity 27, hkl -1 2 1
2θ 36.4, d 2.469, intensity 25, hkl 2 2 1


Diffraction record for MgV2Cl4O2. The X-ray diffraction stick pattern is computed, not measured: it uses a crystal structure in the Materials Project, relaxed with PBE+U and Cu Kα, 1.54184 Å.
Intensities are scaled so that the largest is 100.

Cell and atoms:
```
data_MgV2Cl4O2
_symmetry_space_group_name_H-M 'P 1'
_symmetry_Int_Tables_number 1
_cell_length_a 3.7202
_cell_length_b 7.2156
_cell_length_c 7.6357
_cell_angle_alpha 74.27
_cell_angle_beta 90.00
_cell_angle_gamma 75.54
loop_
_symmetry_equiv_pos_as_xyz
'x,y,z'
loop_
_atom_site_label
_atom_site_type_symbol
_atom_site_fract_x
_atom_site_fract_y
_atom_site_fract_z
Mg1 Mg 0.0000 0.0000 0.0000
V1 V 0.7408 0.4992 0.8519
V2 V 0.7472 0.4916 0.3865
Cl1 Cl 0.6078 0.7756 0.0501
Cl2 Cl 0.6233 0.7439 0.5505
Cl3 Cl 0.8730 0.2245 0.1706
Cl4 Cl 0.8791 0.2147 0.7016
O1 O 0.2389 0.5032 0.8668
O2 O 0.2485 0.4890 0.3686
```

The 10 most intense peaks (2θ from 10° to 90°), sorted by position:
2θ 13.2, d 6.707, intensity 100, hkl 0 1 0
2θ 24.8, d 3.593, intensity 73, hkl 1 0 0
2θ 24.9, d 3.577, intensity 69, hkl 1 1 0
2θ 30.7, d 2.914, intensity 89, hkl 0 2 2
2θ 30.9, d 2.893, intensity 91, hkl 0 1 -2
2θ 43.1, d 2.097, intensity 28, hkl -1 2 2
2θ 43.4, d 2.086, intensity 53, hkl 1 -1 2
2θ 43.6, d 2.075, intensity 26, hkl 1 2 -2
2θ 47.6, d 1.909, intensity 31, hkl 0 1 4
2θ 49.0, d 1.860, intensity 31, hkl 2 1 0


Diffraction record for MgV2Cl4O2. The X-ray diffraction stick pattern is computed, not measured: it uses a crystal structure in the Materials Project, relaxed with PBE+U and Cu Kα, 1.54184 Å.
Intensities are scaled so that the largest is 100.

Cell and atoms:
```
data_MgV2Cl4O2
_symmetry_space_group_name_H-M 'C 1 2/m 1'
_symmetry_Int_Tables_number 12
_cell_length_a 13.7440
_cell_length_b 3.5712
_cell_length_c 8.7340
_cell_angle_alpha 90.00
_cell_angle_beta 112.24
_cell_angle_gamma 90.00
loop_
_symmetry_equiv_pos_as_xyz
'x,y,z'
'-x,-y,-z'
'-x,y,-z'
'x,-y,z'
'x+1/2,y+1/2,z'
'-x+1/2,-y+1/2,-z'
'-x+1/2,y+1/2,-z'
'x+1/2,-y+1/2,z'
loop_
_atom_site_label
_atom_site_type_symbol
_atom_site_fract_x
_atom_site_fract_y
_atom_site_fract_z
Mg1 Mg 0.0000 0.0000 0.0000
V1 V 0.0013 0.5000 0.3003
Cl1 Cl 0.1273 0.5000 0.0017
Cl2 Cl 0.1293 0.5000 0.5886
O1 O 0.0331 0.0000 0.2507
```

The 10 most intense peaks (2θ from 10° to 90°), sorted by position:
2θ 13.9, d 6.361, intensity 100, hkl 2 0 0
2θ 25.9, d 3.438, intensity 38, hkl 1 1 0
2θ 27.1, d 3.287, intensity 11, hkl 1 1 -1
2θ 28.4, d 3.144, intensity 27, hkl 4 0 -2
2θ 30.4, d 2.944, intensity 15, hkl 2 0 2
2θ 31.9, d 2.803, intensity 12, hkl 3 1 -1
2θ 33.2, d 2.695, intensity 16, hkl 0 0 3
2θ 42.4, d 2.130, intensity 20, hkl 5 1 -2
2θ 44.3, d 2.044, intensity 15, hkl 3 1 2
2θ 44.8, d 2.022, intensity 11, hkl 1 1 3


Diffraction record for MgV2Cl4O2. The X-ray diffraction stick pattern is computed, not measured: it uses a crystal structure in the Materials Project, relaxed with PBE+U and Cu Kα, 1.54184 Å.
Intensities are scaled so that the largest is 100.

Cell and atoms:
```
data_MgV2Cl4O2
_symmetry_space_group_name_H-M 'P 1'
_symmetry_Int_Tables_number 1
_cell_length_a 3.7098
_cell_length_b 6.9639
_cell_length_c 7.3317
_cell_angle_alpha 75.21
_cell_angle_beta 89.99
_cell_angle_gamma 74.76
loop_
_symmetry_equiv_pos_as_xyz
'x,y,z'
loop_
_atom_site_label
_atom_site_type_symbol
_atom_site_fract_x
_atom_site_fract_y
_atom_site_fract_z
Mg1 Mg 0.0000 0.0000 0.0000
V1 V 0.3134 0.3812 0.8846
V2 V 0.3331 0.3318 0.4108
Cl1 Cl 0.1959 0.6172 0.0907
Cl2 Cl 0.2017 0.6047 0.5843
Cl3 Cl 0.4776 0.0452 0.7481
Cl4 Cl 0.4840 0.0328 0.2227
O1 O 0.8389 0.3203 0.4096
O2 O 0.8498 0.3069 0.9254
```

The 10 most intense peaks (2θ from 10° to 90°), sorted by position:
2θ 13.7, d 6.480, intensity 78, hkl 0 1 0
2θ 25.0, d 3.567, intensity 100, hkl 1 0 0
2θ 31.9, d 2.807, intensity 67, hkl 0 1 -2
2θ 32.2, d 2.783, intensity 63, hkl 0 2 2
2θ 34.4, d 2.607, intensity 20, hkl 1 1 2
2θ 37.2, d 2.419, intensity 21, hkl 1 1 -2
2θ 41.8, d 2.160, intensity 27, hkl 0 3 0
2θ 44.7, d 2.028, intensity 18, hkl -1 2 2
2θ 49.1, d 1.855, intensity 28, hkl 2 1 0
2θ 49.7, d 1.833, intensity 25, hkl 0 1 4


Diffraction record for MgWCl4O. The X-ray diffraction stick pattern is computed, not measured: it uses a crystal structure in the Materials Project, relaxed with PBE+U and Cu Kα, 1.54184 Å.
Intensities are scaled so that the largest is 100.

Cell and atoms:
```
data_MgWCl4O
_symmetry_space_group_name_H-M 'P 1'
_symmetry_Int_Tables_number 1
_cell_length_a 3.9459
_cell_length_b 6.9207
_cell_length_c 7.2885
_cell_angle_alpha 84.47
_cell_angle_beta 74.48
_cell_angle_gamma 73.49
loop_
_symmetry_equiv_pos_as_xyz
'x,y,z'
loop_
_atom_site_label
_atom_site_type_symbol
_atom_site_fract_x
_atom_site_fract_y
_atom_site_fract_z
Mg1 Mg 0.0000 0.0000 0.0000
W1 W 0.7174 0.6377 0.9252
Cl1 Cl 0.4545 0.8711 0.2180
Cl2 Cl 0.6222 0.9903 0.7637
Cl3 Cl 0.7670 0.3314 0.1325
Cl4 Cl 0.9461 0.4596 0.6439
O1 O 0.1777 0.6943 0.9485
```

The 10 most intense peaks (2θ from 10° to 90°), sorted by position:
2θ 12.6, d 7.021, intensity 100, hkl 0 0 1
2θ 13.3, d 6.634, intensity 43, hkl 0 1 0
2θ 18.2, d 4.876, intensity 16, hkl 0 1 1
2θ 18.6, d 4.770, intensity 26, hkl 0 1 -1
2θ 24.4, d 3.655, intensity 59, hkl 1 0 0
2θ 24.4, d 3.644, intensity 18, hkl 1 0 1
2θ 28.5, d 3.131, intensity 17, hkl 0 1 2
2θ 30.0, d 2.974, intensity 17, hkl 0 2 -1
2θ 31.1, d 2.873, intensity 12, hkl 1 -1 1
2θ 36.3, d 2.476, intensity 17, hkl 1 2 -1


Diffraction record for MgW2Cl4O4. The X-ray diffraction stick pattern is computed, not measured: it uses a crystal structure in the Materials Project, relaxed with PBE+U and Cu Kα, 1.54184 Å.
Intensities are scaled so that the largest is 100.

Cell and atoms:
```
data_MgW2Cl4O4
_symmetry_space_group_name_H-M 'P 1 m 1'
_symmetry_Int_Tables_number 6
_cell_length_a 3.8384
_cell_length_b 7.9518
_cell_length_c 7.7340
_cell_angle_alpha 90.00
_cell_angle_beta 90.08
_cell_angle_gamma 90.00
loop_
_symmetry_equiv_pos_as_xyz
'x,y,z'
'x,-y,z'
loop_
_atom_site_label
_atom_site_type_symbol
_atom_site_fract_x
_atom_site_fract_y
_atom_site_fract_z
Mg1 Mg 0.0000 0.0000 0.0000
W1 W 0.5035 0.5000 0.2615
W2 W 0.5054 0.5000 0.7653
Cl1 Cl 0.5027 0.1858 0.2346
Cl2 Cl 0.5064 0.1837 0.7977
O1 O 0.0035 0.5000 0.2624
O2 O 0.0053 0.5000 0.7614
O3 O 0.5044 0.5000 0.0190
O4 O 0.5045 0.5000 0.5053
```

The 10 most intense peaks (2θ from 10° to 90°), sorted by position:
2θ 11.1, d 7.952, intensity 100, hkl 0 1 0
2θ 22.4, d 3.976, intensity 22, hkl 0 2 0
2θ 23.0, d 3.867, intensity 37, hkl 0 0 2
2θ 23.2, d 3.838, intensity 39, hkl 1 0 0
2θ 25.6, d 3.478, intensity 28, hkl 0 1 2
2θ 25.8, d 3.457, intensity 27, hkl 1 1 0
2θ 32.9, d 2.724, intensity 27, hkl 1 0 -2
2θ 33.8, d 2.651, intensity 18, hkl 0 3 0
2θ 41.3, d 2.186, intensity 18, hkl 0 3 2
2θ 41.4, d 2.181, intensity 19, hkl 1 3 0


Diffraction record for MgWCl4O. The X-ray diffraction stick pattern is computed, not measured: it uses a crystal structure in the Materials Project, relaxed with PBE+U and Cu Kα, 1.54184 Å.
Intensities are scaled so that the largest is 100.

Cell and atoms:
```
data_MgWCl4O
_symmetry_space_group_name_H-M 'C 1 2 1'
_symmetry_Int_Tables_number 5
_cell_length_a 12.5082
_cell_length_b 3.9185
_cell_length_c 8.8408
_cell_angle_alpha 90.00
_cell_angle_beta 134.93
_cell_angle_gamma 90.00
loop_
_symmetry_equiv_pos_as_xyz
'x,y,z'
'-x,y,-z'
'x+1/2,y+1/2,z'
'-x+1/2,y+1/2,-z'
loop_
_atom_site_label
_atom_site_type_symbol
_atom_site_fract_x
_atom_site_fract_y
_atom_site_fract_z
Mg1 Mg 0.0000 0.0000 0.0000
W1 W 0.0000 0.2546 0.5000
Cl1 Cl 0.0801 0.2816 0.8533
Cl2 Cl 0.2269 0.7225 0.3067
O1 O 0.0000 0.7544 0.5000
```

The 10 most intense peaks (2θ from 10° to 90°), sorted by position:
2θ 14.2, d 6.256, intensity 89, hkl 2 0 -1
2θ 20.1, d 4.424, intensity 66, hkl 2 0 -2
2θ 24.9, d 3.583, intensity 100, hkl 1 1 -1
2θ 32.0, d 2.798, intensity 56, hkl 4 0 -1
2θ 32.1, d 2.784, intensity 35, hkl 3 1 -1
2θ 38.2, d 2.356, intensity 28, hkl 3 1 -3
2θ 43.5, d 2.080, intensity 32, hkl 1 1 -3
2θ 45.9, d 1.978, intensity 33, hkl 2 0 2
2θ 48.4, d 1.882, intensity 35, hkl 5 1 -1
2θ 57.4, d 1.605, intensity 28, hkl 4 2 -1


Diffraction record for RbNa2Mn3P4ClO14. The X-ray diffraction stick pattern is computed, not measured: it uses a crystal structure in the Materials Project, relaxed with PBE+U and Cu Kα, 1.54184 Å.
Intensities are scaled so that the largest is 100.

Cell and atoms:
```
data_RbNa2Mn3P4ClO14
_symmetry_space_group_name_H-M 'C 1 2/c 1'
_symmetry_Int_Tables_number 15
_cell_length_a 21.4424
_cell_length_b 5.3110
_cell_length_c 14.0374
_cell_angle_alpha 90.00
_cell_angle_beta 119.44
_cell_angle_gamma 90.00
loop_
_symmetry_equiv_pos_as_xyz
'x,y,z'
'-x,-y,-z'
'-x,y,-z+1/2'
'x,-y,z+1/2'
'x+1/2,y+1/2,z'
'-x+1/2,-y+1/2,-z'
'-x+1/2,y+1/2,-z+1/2'
'x+1/2,-y+1/2,z+1/2'
loop_
_atom_site_label
_atom_site_type_symbol
_atom_site_fract_x
_atom_site_fract_y
_atom_site_fract_z
Rb1 Rb 0.0000 0.0000 0.0000
Na1 Na 0.2204 0.0252 0.1533
Mn1 Mn 0.0000 0.4476 0.7500
Mn2 Mn 0.1567 0.0142 0.8447
P1 P 0.1184 0.4952 0.6708
P2 P 0.1575 0.4839 0.4930
Cl1 Cl 0.0000 0.0419 0.2500
O1 O 0.0408 0.4954 0.6458
O2 O 0.1078 0.4535 0.0487
O3 O 0.1183 0.3703 0.8841
O4 O 0.1562 0.2401 0.7098
O5 O 0.1568 0.1980 0.4771
O6 O 0.1646 0.2872 0.2436
O7 O 0.2311 0.4094 0.0724
```

The 10 most intense peaks (2θ from 10° to 90°), sorted by position:
2θ 24.2, d 3.684, intensity 49, hkl 1 1 2
2θ 26.9, d 3.318, intensity 35, hkl 5 1 -2
2θ 28.7, d 3.112, intensity 71, hkl 6 0 0
2θ 29.2, d 3.056, intensity 92, hkl 6 0 -4
2θ 30.2, d 2.964, intensity 92, hkl 3 1 2
2θ 30.5, d 2.928, intensity 100, hkl 3 1 -4
2θ 33.7, d 2.656, intensity 75, hkl 0 2 0
2θ 38.6, d 2.334, intensity 31, hkl 8 0 0
2θ 42.3, d 2.134, intensity 33, hkl 9 1 -4
2θ 43.0, d 2.104, intensity 30, hkl 2 2 -4


Diffraction record for MnClO3. The X-ray diffraction stick pattern is computed, not measured: it uses a crystal structure in the Materials Project, relaxed with PBE+U and Cu Kα, 1.54184 Å.
Intensities are scaled so that the largest is 100.

Cell and atoms:
```
data_MnClO3
_symmetry_space_group_name_H-M 'C m c 21'
_symmetry_Int_Tables_number 36
_cell_length_a 7.4346
_cell_length_b 10.4982
_cell_length_c 5.2448
_cell_angle_alpha 90.00
_cell_angle_beta 90.00
_cell_angle_gamma 90.00
loop_
_symmetry_equiv_pos_as_xyz
'x,y,z'
'-x,-y,z+1/2'
'-x,y,z'
'x,-y,z+1/2'
'x+1/2,y+1/2,z'
'-x+1/2,-y+1/2,z+1/2'
'-x+1/2,y+1/2,z'
'x+1/2,-y+1/2,z+1/2'
loop_
_atom_site_label
_atom_site_type_symbol
_atom_site_fract_x
_atom_site_fract_y
_atom_site_fract_z
Mn1 Mn 0.0000 0.1741 0.0000
Cl1 Cl 0.0000 0.3643 0.8785
O1 O 0.0000 0.1726 0.3025
O2 O 0.1752 0.1066 0.8929
```

The 10 most intense peaks (2θ from 10° to 90°), sorted by position:
2θ 14.6, d 6.067, intensity 12, hkl 1 1 0
2θ 16.9, d 5.249, intensity 14, hkl 0 2 0
2θ 22.4, d 3.968, intensity 100, hkl 1 1 1
2θ 24.0, d 3.715, intensity 47, hkl 2 0 0
2θ 28.2, d 3.166, intensity 12, hkl 1 3 0
2θ 29.4, d 3.034, intensity 12, hkl 2 2 0
2θ 34.2, d 2.624, intensity 40, hkl 0 0 2
2θ 44.9, d 2.020, intensity 10, hkl 1 5 0
2θ 57.5, d 1.602, intensity 9, hkl 3 5 0
2θ 61.2, d 1.515, intensity 13, hkl 2 2 3


Diffraction record for Mn5P3ClO12. The X-ray diffraction stick pattern is computed, not measured: it uses a crystal structure in the Materials Project, relaxed with PBE+U and Cu Kα, 1.54184 Å.
Intensities are scaled so that the largest is 100.

Cell and atoms:
```
data_Mn5P3ClO12
_symmetry_space_group_name_H-M 'P 63/m'
_symmetry_Int_Tables_number 176
_symmetry_space_group_name_Hall '-P 6c'
_cell_length_a 9.6640
_cell_length_b 9.6640
_cell_length_c 6.2816
_cell_angle_alpha 90.00
_cell_angle_beta 90.00
_cell_angle_gamma 120.00
loop_
_atom_site_label
_atom_site_type_symbol
_atom_site_fract_x
_atom_site_fract_y
_atom_site_fract_z
Mn1 Mn 0.0350 0.2779 0.2500
Mn2 Mn 0.3333 0.6667 0.5060
P1 P 0.0259 0.6194 0.2500
Cl1 Cl 0.0000 0.0000 0.2500
O1 O 0.0748 0.7310 0.0525
O2 O 0.1374 0.5424 0.2500
O3 O 0.1516 0.5121 0.7500
```

The 10 most intense peaks (2θ from 10° to 90°), sorted by position:
2θ 25.6, d 3.483, intensity 25, hkl 2 0 1
2θ 28.4, d 3.141, intensity 26, hkl 0 0 2
2θ 31.7, d 2.825, intensity 100, hkl 2 1 1
2θ 32.1, d 2.790, intensity 98, hkl 3 0 0
2θ 34.0, d 2.633, intensity 37, hkl 1 1 2
2θ 35.7, d 2.512, intensity 28, hkl 2 0 2
2θ 47.5, d 1.915, intensity 20, hkl 2 2 2
2θ 48.8, d 1.867, intensity 43, hkl 1 3 2
2θ 49.7, d 1.836, intensity 19, hkl 3 2 1
2θ 52.4, d 1.746, intensity 27, hkl 2 1 3


Diffraction record for Rb2MnCl4O2. The X-ray diffraction stick pattern is computed, not measured: it uses a crystal structure in the Materials Project, relaxed with PBE+U and Cu Kα, 1.54184 Å.
Intensities are scaled so that the largest is 100.

Cell and atoms:
```
data_Rb2MnCl4O2
_symmetry_space_group_name_H-M 'P -1'
_symmetry_Int_Tables_number 2
_cell_length_a 5.9578
_cell_length_b 6.8218
_cell_length_c 6.8591
_cell_angle_alpha 60.87
_cell_angle_beta 84.45
_cell_angle_gamma 86.78
loop_
_symmetry_equiv_pos_as_xyz
'x,y,z'
'-x,-y,-z'
loop_
_atom_site_label
_atom_site_type_symbol
_atom_site_fract_x
_atom_site_fract_y
_atom_site_fract_z
Rb1 Rb 0.2430 0.1353 0.1720
Mn1 Mn 0.0000 0.5000 0.5000
Cl1 Cl 0.2117 0.6407 0.1484
Cl2 Cl 0.2369 0.1783 0.6473
O1 O 0.1709 0.6416 0.5791
```

The 10 most intense peaks (2θ from 10° to 90°), sorted by position:
2θ 14.9, d 5.930, intensity 52, hkl 1 0 0
2θ 20.2, d 4.386, intensity 86, hkl 1 0 1
2θ 21.0, d 4.225, intensity 71, hkl 1 1 0
2θ 26.1, d 3.410, intensity 100, hkl 0 1 2
2θ 30.1, d 2.965, intensity 60, hkl 2 0 0
2θ 30.4, d 2.938, intensity 43, hkl 0 2 2
2θ 32.5, d 2.757, intensity 42, hkl 1 0 2
2θ 33.5, d 2.674, intensity 48, hkl 1 2 0
2θ 33.8, d 2.651, intensity 81, hkl 1 -2 0
2θ 34.7, d 2.586, intensity 71, hkl 1 0 -2